1.
The following is a computed powder XRD pattern of Pm7DyTm12. It was derived from a structure optimized by DFT (GGA-PBE), using copper Kα.
Lines closer than 0.1° are merged.

Most intense lines, 10 to 80 degrees two-theta, by intensity:
2θ 31.9, 2.809 Å, I 100; 2θ 33.3, 2.689 Å, I 59; 2θ 32.0, 2.800 Å, I 49; 2θ 30.9, 2.891 Å, I 39; 2θ 29.0, 3.080 Å, I 27; 2θ 55.8, 1.648 Å, I 26

Atomic structure:
Cell: 11.8751 11.8751 16.1417 Å, 90.00 90.00 120.00°
Space group R-3 (No. 148, hexagonal axes)
Unique sites:
Pm 0.0000 0.0000 0.0000 [3 per cell]
Pm 0.0540 0.1885 0.2901 [18 per cell]
Dy 0.0000 0.0000 0.5000 [3 per cell]
Tm 0.0234 0.4483 0.2205 [18 per cell]
Tm 0.0513 0.5862 0.5834 [18 per cell]

=====

2.
The following is a computed powder XRD pattern of Pa2Fe4Re2B. It was derived from a structure optimized by DFT (GGA-PBE), using copper Kα.
Lines closer than 0.1° are merged.

Most intense lines, 10 to 80 degrees two-theta, by intensity:
2θ 39.2, 2.300 Å, I 100; 2θ 44.8, 2.025 Å, I 37; 2θ 31.2, 2.863 Å, I 30; 2θ 23.0, 3.863 Å, I 27; 2θ 78.7, 1.216 Å, I 26; 2θ 67.0, 1.398 Å, I 18

Atomic structure:
Cell: 5.727 5.727 7.726 Å, 90.00 90.00 90.00°
Space group I4/mmm (No. 139)
Unique sites:
Pa 0.000 0.500 0.250 [4 per cell]
Fe 0.247 0.247 0.000 [8 per cell]
Re 0.000 0.000 0.282 [4 per cell]
B 0.000 0.000 0.000 [2 per cell]

=====

3.
The following is a computed powder XRD pattern of Pr3Ge3Au8. It was derived from a structure optimized by DFT (GGA-PBE), using copper Kα.
Lines closer than 0.1° are merged.

Most intense lines, 10 to 80 degrees two-theta, by intensity:
2θ 33.9, 2.644 Å, I 100; 2θ 38.1, 2.363 Å, I 76; 2θ 33.0, 2.713 Å, I 61; 2θ 33.2, 2.696 Å, I 46; 2θ 37.0, 2.427 Å, I 32; 2θ 39.0, 2.311 Å, I 32

Atomic structure:
Cell: 16.326 4.725 9.146 Å, 90.00 121.85 90.00°
Space group C2/m (No. 12)
Unique sites:
Pr 0.000 0.000 0.000 [2 per cell]
Pr 0.204 0.500 0.713 [4 per cell]
Ge 0.000 0.000 0.500 [2 per cell]
Ge 0.165 0.500 0.312 [4 per cell]
Au 0.006 0.500 0.329 [4 per cell]
Au 0.133 0.000 0.842 [4 per cell]
Au 0.144 0.000 0.424 [4 per cell]
Au 0.151 0.500 0.024 [4 per cell]

=====

Number 2 is which compound? Pa2Fe4Re2B